This entry pairs a crystal structure of Sr2Ac4As3O2 with its calculated powder XRD pattern. Radiation: Cu Kα (weighted mean of Kα1 and Kα2). Structure: a DFT-relaxed cell (GGA-PBE, Alexandria).

Most intense lines, 10° ≤ 2θ ≤ 80°, by angle:
| 2θ/deg | d_spacing | I/Imax |
| --- | --- | --- |
| 14.07 | 6.294 | 17 |
| 21.17 | 4.196 | 23 |
| 26.05 | 3.421 | 54 |
| 28.84 | 3.095 | 23 |
| 33.03 | 2.712 | 100 |
| 35.71 | 2.514 | 62 |
| 51.40 | 1.778 | 28 |
| 62.47 | 1.487 | 33 |

Atomic structure:
a = 13.0800 Å, b = 13.0800 Å, c = 13.0800 Å
α = 157.84°, β = 157.84°, γ = 31.54°
Atoms (fractional coordinates):
Sr1 0.2022 0.2022 0.0000
Sr2 0.7978 0.7978 0.0000
Ac1 0.0810 0.5810 0.5000
Ac2 0.4190 0.9190 0.5000
Ac3 0.5810 0.0810 0.5000
Ac4 0.9190 0.4190 0.5000
As1 0.3278 0.3278 0.0000
As2 0.5000 0.5000 0.0000
As3 0.6722 0.6722 0.0000
O1 0.1034 0.1034 0.0000
O2 0.8966 0.8966 0.0000